For Na4Ta3O10, a DFT-relaxed cell (PBE, Alexandria) gives the theoretical powder X-ray diffraction pattern in this record (Cu Kα (λ = 1.5418 Å)).
Kinematic intensities with the Lorentz-polarization factor, no thermal factor.

The 10 most intense peaks (5 to 70 degrees two-theta), in order of falling intensity:
d/Å	2θ (°)	I_rel	h k l
3.943	22.6	100	1 0 1
2.845	31.4	95	1 0 7
2.815	31.8	52	1 1 0
4.743	18.7	43	0 0 6
1.631	56.4	39	2 1 7
1.991	45.6	33	2 0 0
14.230	6.2	25	0 0 2
1.777	51.4	22	2 1 1
1.422	65.6	22	2 0 14
1.648	55.8	21	1 1 14

Crystal structure
```
data_Na4Ta3O10
_chemical_formula_sum 'Na8 Ta6 O20'
_cell_length_a 3.9811
_cell_length_b 3.9811
_cell_length_c 28.4605
_cell_angle_alpha 90.00
_cell_angle_beta 90.00
_cell_angle_gamma 90.00
_symmetry_space_group_name_H-M 'I 4/m m m'
_symmetry_Int_Tables_number 139
_symmetry_space_group_name_Hall '-I 4 2'
loop_
_atom_site_label
_atom_site_type_symbol
_atom_site_fract_x
_atom_site_fract_y
_atom_site_fract_z
Na1 Na 0.0000 0.0000 0.0736
Na2 Na 0.0000 0.0000 0.2102
Ta1 Ta 0.0000 0.0000 0.3558
Ta2 Ta 0.0000 0.0000 0.5000
O1 O 0.0000 0.0000 0.2902
O2 O 0.0000 0.0000 0.4308
O3 O 0.0000 0.5000 0.0000
O4 O 0.0000 0.5000 0.1383
```